1.
Computed powder XRD pattern
Compound: Co3NiSe8
Radiation: Cu Kα (λ = 1.5418 Å)
Structure: DFT lattice parameters and positions (PBE)

```
data_Co3NiSe8
_chemical_formula_sum 'Co6 Ni2 Se16'
_space_group_name_H-M_alt 'C 1 2/m 1'
_space_group_IT_number 12
_space_group_name_Hall '-C 2y'
_cell_length_a 10.232
_cell_length_b 7.064
_cell_length_c 7.945
_cell_angle_alpha 90.00
_cell_angle_beta 129.67
_cell_angle_gamma 90.00
loop_
_atom_site_label
_atom_site_type_symbol
_atom_site_fract_x
_atom_site_fract_y
_atom_site_fract_z
Co1 Co 0.000 0.000 0.000
Co2 Co 0.250 0.250 0.500
Ni1 Ni 0.000 0.500 0.000
Se1 Se 0.047 0.000 0.335
Se2 Se 0.049 0.500 0.340
Se3 Se 0.203 0.247 0.167
```

Main lines, in order of rising 2θ (10 to 90 degrees two-theta):
d/Å	I/Imax	(hkl)
5.116	35	2 0 -1
2.630	100	2 2 0
2.617	61	2 0 -3
2.558	10	4 0 -2
1.966	33	4 2 -1
1.957	28	4 0 -4
1.766	53	0 4 0
1.494	9	6 0 -1
1.487	18	6 2 -4
1.467	10	2 0 3
1.464	16	2 4 -3
1.128	13	2 6 0

2.
Computed powder XRD pattern
Compound: Al2Cu5Si
Radiation: Cu Kα (λ = 1.5418 Å)
Structure: DFT lattice parameters and positions (PBE)

```
data_Al2Cu5Si
_chemical_formula_sum 'Al4 Cu10 Si2'
_space_group_name_H-M_alt 'P b a m'
_space_group_IT_number 55
_space_group_name_Hall '-P 2 2ab'
_cell_length_a 5.227
_cell_length_b 10.575
_cell_length_c 3.683
_cell_angle_alpha 90.00
_cell_angle_beta 90.00
_cell_angle_gamma 90.00
loop_
_atom_site_label
_atom_site_type_symbol
_atom_site_fract_x
_atom_site_fract_y
_atom_site_fract_z
Al1 Al 0.226 0.134 0.000
Cu1 Cu 0.000 0.000 0.500
Cu2 Cu 0.013 0.744 0.500
Cu3 Cu 0.234 0.382 0.000
Si1 Si 0.000 0.500 0.500
```

Main lines, in order of rising 2θ (10 to 90 degrees two-theta):
d/Å	I/Imax	(hkl)
3.717	17	1 2 0
2.616	16	1 2 1
2.148	100	0 4 1
2.131	97	2 0 1
1.859	61	2 4 0
1.841	31	0 0 2
1.322	9	0 8 0
1.308	43	2 4 2
1.123	20	2 8 1
1.116	19	4 4 1
1.113	11	0 4 3
1.111	10	2 0 3